(1)
The following is a calculated X-ray diffraction stick pattern of Cs2NaSiP2. It was derived from a DFT-relaxed cell (PBE, Alexandria), using Cu Kα.
Neutral-atom scattering factors, no anomalous dispersion.

Structure:
```
Cs2NaSiP2
1.0
-3.3950 11.6029 3.0605
3.3950 -11.6029 3.0605
3.3950 11.6029 -3.0605
Cs Na Si P
4 2 2 4
direct
0.1461 0.2392 0.3853
0.3539 0.7392 0.0931
0.6461 0.2608 0.9069
0.8539 0.7608 0.6147
0.2500 0.7500 0.5000
0.7500 0.2500 0.5000
0.2500 0.2500 0.0000
0.7500 0.7500 0.0000
0.0512 0.8177 0.8688
0.4488 0.3177 0.7665
0.5512 0.6823 0.2335
0.9488 0.1823 0.1312
```

Principal peaks in the range 10° ≤ 2θ ≤ 90°, in order of rising 2θ:
d/Å  Rel. int.
5.801  25
4.233  100
3.868  21
3.578  51
2.946  48
2.930  30
2.707  23
2.445  20
2.273  25
1.850  22

(2)
The following is a calculated X-ray diffraction stick pattern of CsNa2PaS4. It was derived from a DFT-relaxed cell (PBE, Alexandria), using Cu Kα.
Neutral-atom scattering factors, no anomalous dispersion.

Structure:
```
CsNa2PaS4
1.0
7.5034 0.0000 0.0000
0.0000 7.5034 0.0000
0.0000 0.0000 9.2600
Cs Na Pa S
2 4 2 8
direct
0.0000 0.0000 0.0000
0.5000 0.5000 0.5000
0.0000 0.5000 0.2500
0.0000 0.5000 0.7500
0.5000 0.0000 0.2500
0.5000 0.0000 0.7500
0.0000 0.0000 0.5000
0.5000 0.5000 0.0000
0.1953 0.1953 0.6557
0.1953 0.8047 0.3443
0.3047 0.3047 0.1557
0.3047 0.6953 0.8443
0.6953 0.3047 0.8443
0.6953 0.6953 0.1557
0.8047 0.1953 0.3443
0.8047 0.8047 0.6557
```

Principal peaks in the range 10° ≤ 2θ ≤ 90°, in order of rising 2θ:
d/Å  Rel. int.
5.830  28
5.306  81
4.630  18
3.752  30
3.488  100
2.915  43
2.653  33
2.112  52
1.970  27
1.657  16

(3)
The following is a calculated X-ray diffraction stick pattern of Cs3NaPa3Se8. It was derived from a DFT-relaxed cell (PBE, Alexandria), using Cu Kα.
Neutral-atom scattering factors, no anomalous dispersion.

Structure:
```
Cs3NaPa3Se8
1.0
4.2678 2.4640 8.4535
-4.2678 2.4640 8.4535
0.0000 -4.9280 8.4535
Cs Na Pa Se
3 1 3 8
direct
0.0000 0.5000 0.5000
0.5000 0.0000 0.5000
0.5000 0.5000 0.0000
0.5000 0.5000 0.5000
0.0000 0.0000 0.5000
0.0000 0.5000 0.0000
0.5000 0.0000 0.0000
0.2060 0.7392 0.7392
0.2292 0.2292 0.2292
0.2608 0.2608 0.7940
0.2608 0.7940 0.2608
0.7392 0.2060 0.7392
0.7392 0.7392 0.2060
0.7708 0.7708 0.7708
0.7940 0.2608 0.2608
```

Principal peaks in the range 10° ≤ 2θ ≤ 90°, in order of rising 2θ:
d/Å  Rel. int.
8.454  36
6.386  22
4.812  13
3.548  11
3.193  100
2.587  15
2.406  33
2.134  35
1.774  18
1.364  15

(4)
The following is a calculated X-ray diffraction stick pattern of Cs2NaPb. It was derived from a DFT-relaxed cell (PBE, Alexandria), using Cu Kα.
Neutral-atom scattering factors, no anomalous dispersion.

Structure:
```
Cs2NaPb
1.0
13.1454 0.0000 0.0000
0.0000 7.2071 0.0000
-4.4777 0.0000 10.0390
Cs Na Pb
8 4 4
direct
0.1667 0.2498 0.0879
0.1667 0.2502 0.5879
0.2556 0.7167 0.3807
0.2556 0.7833 0.8807
0.7444 0.2167 0.1193
0.7444 0.2833 0.6193
0.8333 0.7498 0.4121
0.8333 0.7502 0.9121
0.4997 0.0001 0.2274
0.5003 0.9999 0.7726
0.5003 0.5001 0.2726
0.4997 0.4999 0.7274
0.4242 0.1894 0.4632
0.4242 0.3106 0.9632
0.5758 0.6894 0.0368
0.5758 0.8106 0.5368
```

Principal peaks in the range 10° ≤ 2θ ≤ 90°, in order of rising 2θ:
d/Å  Rel. int.
5.019  61
4.975  60
3.604  76
3.549  65
3.517  74
3.499  100
2.965  69
2.938  61
2.923  64
2.748  63